(1)
# SrNdNiSbO6
Computed powder diffraction line list, Cu Kα, 1.54184 Å. Input: a cell relaxed with PBE+U.

Largest 10 diffraction maxima, most intense first, 2θ = 5–70°:
| 2θ (°) | d/Å | Rel. int. |
| --- | --- | --- |
| 31.71 | 2.822 | 1000 |
| 56.48 | 1.629 | 390 |
| 45.46 | 1.995 | 320 |
| 66.24 | 1.411 | 192 |
| 19.26 | 4.608 | 99 |
| 37.37 | 2.407 | 53 |
| 39.10 | 2.304 | 52 |
| 49.80 | 1.831 | 23 |
| 60.25 | 1.536 | 19 |
| 69.70 | 1.349 | 19 |

Cell and atoms:
Unit cell a=5.6438 b=5.6438 c=5.6438 alpha=60.00 beta=60.00 gamma=60.00
Positions (direct):
Sr  0.0000  0.0000  0.0000
Nd  0.5000  0.5000  0.5000
Ni  0.2500  0.2500  0.2500
Sb  0.7500  0.7500  0.7500
O  0.5030  0.5030  0.9970
O  0.5030  0.9970  0.5030
O  0.5030  0.9970  0.9970
O  0.9970  0.5030  0.5030
O  0.9970  0.5030  0.9970
O  0.9970  0.9970  0.5030

***

(2)
# SrNdNi4O12
Computed powder diffraction line list, Cu Kα, 1.54184 Å. Input: a cell relaxed with PBE+U.

Largest 10 diffraction maxima, most intense first, 2θ = 5–70°:
| 2θ (°) | d/Å | Rel. int. |
| --- | --- | --- |
| 20.15 | 4.408 | 1000 |
| 33.15 | 2.702 | 958 |
| 33.27 | 2.693 | 477 |
| 47.76 | 1.904 | 418 |
| 59.37 | 1.557 | 363 |
| 39.20 | 2.298 | 358 |
| 69.58 | 1.351 | 233 |
| 47.42 | 1.917 | 211 |
| 59.15 | 1.562 | 187 |
| 39.00 | 2.309 | 180 |

Cell and atoms:
Unit cell a=5.3866 b=5.3866 c=7.6684 alpha=90.00 beta=90.00 gamma=90.00
Positions (direct):
Sr  0.0000  0.0000  0.0000
Nd  0.5000  0.5000  0.5000
Ni  0.0000  0.5000  0.2488
Ni  0.0000  0.5000  0.7512
Ni  0.5000  0.0000  0.2488
Ni  0.5000  0.0000  0.7512
O  0.0000  0.5000  0.0000
O  0.0000  0.5000  0.5000
O  0.2587  0.2587  0.2617
O  0.2587  0.2587  0.7383
O  0.2587  0.7413  0.2617
O  0.2587  0.7413  0.7383
O  0.5000  0.0000  0.0000
O  0.5000  0.0000  0.5000
O  0.7413  0.2587  0.2617
O  0.7413  0.2587  0.7383
O  0.7413  0.7413  0.2617
O  0.7413  0.7413  0.7383

***

(3)
# SrNd3Ni2O8
Computed powder diffraction line list, Cu Kα, 1.54184 Å. Input: a cell relaxed with PBE+U.

Largest 10 diffraction maxima, most intense first, 2θ = 5–70°:
| 2θ (°) | d/Å | Rel. int. |
| --- | --- | --- |
| 31.77 | 2.817 | 1000 |
| 33.22 | 2.697 | 357 |
| 47.80 | 1.903 | 355 |
| 33.37 | 2.685 | 352 |
| 43.15 | 2.096 | 307 |
| 24.44 | 3.642 | 229 |
| 58.45 | 1.579 | 185 |
| 58.63 | 1.575 | 179 |
| 66.39 | 1.408 | 154 |
| 44.27 | 2.046 | 148 |

Cell and atoms:
Unit cell a=5.3934 b=6.8330 c=6.8330 alpha=46.28 beta=90.00 gamma=90.00
Positions (direct):
Sr  0.0000  0.0000  0.0000
Nd  0.0000  0.7199  0.7199
Nd  0.5000  0.2172  0.2172
Nd  0.5000  0.4934  0.4934
Ni  0.0000  0.3599  0.3599
Ni  0.5000  0.8606  0.8606
O  0.0000  0.1925  0.1925
O  0.0000  0.5326  0.5326
O  0.2597  0.1012  0.6026
O  0.2597  0.6026  0.1012
O  0.5000  0.0323  0.0323
O  0.5000  0.6768  0.6768
O  0.7403  0.1012  0.6026
O  0.7403  0.6026  0.1012

***

(4)
# NdNiTe2O8
Computed powder diffraction line list, Cu Kα, 1.54184 Å. Input: a cell relaxed with PBE+U.

Largest 10 diffraction maxima, most intense first, 2θ = 5–70°:
| 2θ (°) | d/Å | Rel. int. |
| --- | --- | --- |
| 24.45 | 3.641 | 1000 |
| 31.32 | 2.856 | 835 |
| 47.55 | 1.912 | 663 |
| 34.85 | 2.575 | 225 |
| 60.29 | 1.535 | 191 |
| 50.11 | 1.821 | 168 |
| 56.52 | 1.628 | 159 |
| 59.56 | 1.552 | 152 |
| 65.35 | 1.428 | 119 |
| 30.38 | 2.942 | 82 |

Cell and atoms:
Unit cell a=6.1882 b=6.1882 c=6.1882 alpha=107.91 beta=107.91 gamma=112.63
Positions (direct):
Nd  0.0000  0.0000  0.0000
Ni  0.7500  0.2500  0.5000
Te  0.2500  0.7500  0.5000
Te  0.5000  0.5000  0.0000
O  0.0681  0.3834  0.3152
O  0.0681  0.7529  0.6848
O  0.1118  0.3097  0.8021
O  0.2471  0.9319  0.3152
O  0.5077  0.3097  0.1979
O  0.6166  0.9319  0.6848
O  0.6903  0.4923  0.8021
O  0.6903  0.8882  0.1979

***

(5)
# Nd2UNiO8
Computed powder diffraction line list, Cu Kα, 1.54184 Å. Input: a cell relaxed with PBE+U.

Largest 10 diffraction maxima, most intense first, 2θ = 5–70°:
| 2θ (°) | d/Å | Rel. int. |
| --- | --- | --- |
| 25.32 | 3.518 | 1000 |
| 27.14 | 3.286 | 930 |
| 28.22 | 3.162 | 754 |
| 31.43 | 2.847 | 560 |
| 30.98 | 2.887 | 497 |
| 11.88 | 7.449 | 419 |
| 48.91 | 1.862 | 410 |
| 33.98 | 2.638 | 333 |
| 32.68 | 2.740 | 303 |
| 24.51 | 3.632 | 299 |

Cell and atoms:
Unit cell a=4.3197 b=5.3757 c=7.5542 alpha=80.90 beta=85.98 gamma=83.21
Positions (direct):
Nd  0.0721  0.0223  0.2415
Nd  0.9279  0.9777  0.7585
U  0.5000  0.5000  0.5000
Ni  0.5000  0.5000  0.0000
O  0.0942  0.7273  0.5235
O  0.1971  0.7585  0.0124
O  0.4074  0.1996  0.6827
O  0.4067  0.3545  0.2348
O  0.5933  0.6455  0.7652
O  0.5926  0.8004  0.3173
O  0.8029  0.2415  0.9876
O  0.9058  0.2727  0.4765